The following is a simulated powder diffraction line list of CuAg9. It was derived from DFT lattice parameters and positions (PBE), using Cu Kα.

Largest 10 diffraction maxima, by intensity, 10° ≤ 2θ ≤ 80°:
| 2θ/deg | I_rel |
| --- | --- |
| 37.8 | 100 |
| 43.9 | 64 |
| 38.0 | 49 |
| 38.1 | 48 |
| 44.4 | 31 |
| 64.1 | 29 |
| 76.4 | 23 |
| 64.3 | 19 |
| 77.3 | 17 |
| 76.8 | 11 |

```
CuAg9
1.0
11.8440 -1.4669 0.0000
11.8440 1.4669 0.0000
-0.3876 0.0000 5.0043
Cu Ag
1 9
Direct
0.0000 0.0000 0.0000
0.0981 0.0981 0.7025
0.1987 0.1987 0.3991
0.3007 0.3007 0.0997
0.4045 0.4045 0.8060
0.5000 0.5000 0.5000
0.5955 0.5955 0.1940
0.6993 0.6993 0.9003
0.8013 0.8013 0.6009
0.9019 0.9019 0.2975
```

=====

The following is a simulated powder diffraction line list of Cu5Ag2. It was derived from DFT lattice parameters and positions (PBE), using Cu Kα.

Largest 10 diffraction maxima, by intensity, 10° ≤ 2θ ≤ 80°:
| 2θ/deg | I_rel |
| --- | --- |
| 41.3 | 100 |
| 41.1 | 98 |
| 47.1 | 65 |
| 70.9 | 35 |
| 49.7 | 28 |
| 69.1 | 10 |
| 68.6 | 9 |
| 28.0 | 9 |
| 35.9 | 5 |
| 24.7 | 4 |

```
Cu5Ag2
1.0
-1.3595 1.8348 9.5820
1.3595 -1.8348 9.5820
1.3595 1.8348 -9.5820
Cu Ag
5 2
Direct
0.0000 0.0000 0.0000
0.2820 0.2820 0.0000
0.4355 0.4355 0.0000
0.5645 0.5645 0.0000
0.7180 0.7180 0.0000
0.1412 0.1412 0.0000
0.8588 0.8588 0.0000
```

=====

The following is a simulated powder diffraction line list of Cu3Ag2. It was derived from DFT lattice parameters and positions (PBE), using Cu Kα.

Largest 10 diffraction maxima, by intensity, 10° ≤ 2θ ≤ 80°:
| 2θ/deg | I_rel |
| --- | --- |
| 40.6 | 100 |
| 40.5 | 99 |
| 45.5 | 34 |
| 45.6 | 34 |
| 50.4 | 26 |
| 70.2 | 17 |
| 70.3 | 17 |
| 66.6 | 10 |
| 66.3 | 9 |
| 25.4 | 5 |

```
Cu3Ag2
1.0
7.1869 -1.8102 0.0000
7.1869 1.8102 0.0000
-1.0807 0.0000 5.5147
Cu Ag
6 4
Direct
0.0000 0.0000 0.0000
0.0004 0.0004 0.4528
0.1869 0.1869 0.0870
0.1878 0.1878 0.5548
0.4080 0.4080 0.1816
0.5935 0.5935 0.2735
0.4044 0.4044 0.6781
0.5976 0.5976 0.7750
0.7926 0.7926 0.3691
0.7951 0.7951 0.8825
```

=====

The following is a simulated powder diffraction line list of Cu3Ag7. It was derived from DFT lattice parameters and positions (PBE), using Cu Kα.

Largest 10 diffraction maxima, by intensity, 10° ≤ 2θ ≤ 80°:
| 2θ/deg | I_rel |
| --- | --- |
| 38.8 | 100 |
| 45.2 | 31 |
| 79.2 | 22 |
| 65.5 | 20 |
| 44.7 | 16 |
| 78.4 | 12 |
| 65.9 | 9 |
| 22.6 | 2 |
| 31.7 | 1 |
| 28.3 | 1 |

```
Cu3Ag7
1.0
4.0546 0.0000 0.0000
0.0000 2.0033 10.0270
0.0000 -2.0033 10.0270
Cu Ag
3 7
Direct
0.0000 0.0000 0.0000
0.0000 0.2037 0.2037
0.5000 0.2969 0.2969
0.0000 0.3992 0.3992
0.0000 0.6016 0.6016
0.0000 0.7970 0.7970
0.5000 0.1014 0.1014
0.5000 0.5004 0.5004
0.5000 0.7032 0.7032
0.5000 0.8986 0.8986
```

=====

Number 4 is which compound? Cu3Ag7